# 1
Structure and simulated powder diffractogram of Dy3HoEr3Te8 (a cell relaxed with PBE; Cu Kα (λ = 1.5418 Å)).
Neutral-atom scattering factors, no anomalous dispersion.

Peak list (12 most intense, 2θ = 10–80°, sorted by position)
7.053 Å, intensity 4.0
6.108 Å, intensity 3.0
4.319 Å, intensity 2.7
3.683 Å, intensity 4.2
3.054 Å, intensity 100.0
2.803 Å, intensity 3.0
2.732 Å, intensity 1.8
2.160 Å, intensity 75.6
1.763 Å, intensity 26.9
1.527 Å, intensity 12.5
1.366 Å, intensity 34.3
1.247 Å, intensity 25.3

Structural model:
```
Dy3HoEr3Te8
1.0
4.3194 2.4938 7.0529
-4.3194 2.4938 7.0529
0.0000 -4.9876 7.0529
Dy Ho Er Te
3 1 3 8
Direct
0.0000 0.5000 0.5000
0.5000 0.0000 0.5000
0.5000 0.5000 0.0000
0.5000 0.5000 0.5000
0.0000 0.0000 0.5000
0.0000 0.5000 0.0000
0.5000 0.0000 0.0000
0.2425 0.7556 0.7556
0.2444 0.2444 0.7575
0.2444 0.7575 0.2444
0.2490 0.2490 0.2490
0.7510 0.7510 0.7510
0.7556 0.2425 0.7556
0.7556 0.7556 0.2425
0.7575 0.2444 0.2444
```


# 2
Structure and simulated powder diffractogram of Pr4Ho2Th (a cell relaxed with PBE; Cu Kα (λ = 1.5418 Å)).
Neutral-atom scattering factors, no anomalous dispersion.

Peak list (12 most intense, 2θ = 10–80°, sorted by position)
3.045 Å, intensity 17.9
2.980 Å, intensity 100.0
2.954 Å, intensity 24.5
2.854 Å, intensity 70.0
2.813 Å, intensity 25.2
2.780 Å, intensity 16.9
2.726 Å, intensity 11.5
2.451 Å, intensity 37.9
1.813 Å, intensity 21.4
1.680 Å, intensity 15.2
1.655 Å, intensity 9.9
1.537 Å, intensity 14.2

Structural model:
```
Pr4Ho2Th
1.0
3.2313 -12.2311 0.0000
3.2313 12.2311 0.0000
-3.2312 0.0000 6.0891
Pr Ho Th
8 4 2
Direct
0.0182 0.9818 0.5000
0.1381 0.6015 0.7396
0.2310 0.6205 0.2853
0.4548 0.5654 0.4550
0.5654 0.4548 0.9550
0.6015 0.1381 0.2396
0.6205 0.2310 0.7853
0.9818 0.0182 0.0000
0.0608 0.7462 0.3273
0.3540 0.5393 0.9134
0.5393 0.3540 0.4134
0.7462 0.0608 0.8273
0.0935 0.8438 0.8703
0.8438 0.0935 0.3703
```


# 3
Structure and simulated powder diffractogram of BaGa4IrRh2 (a cell relaxed with PBE; Cu Kα (λ = 1.5418 Å)).
Neutral-atom scattering factors, no anomalous dispersion.

Peak list (12 most intense, 2θ = 10–80°, sorted by position)
3.586 Å, intensity 16.1
3.301 Å, intensity 33.6
2.602 Å, intensity 62.9
2.296 Å, intensity 20.6
2.161 Å, intensity 47.6
2.136 Å, intensity 100.0
2.086 Å, intensity 17.9
1.821 Å, intensity 26.2
1.651 Å, intensity 15.8
1.519 Å, intensity 15.2
1.252 Å, intensity 16.8
1.233 Å, intensity 16.5

Structural model:
```
BaGa4IrRh2
1.0
2.1356 1.2330 9.7600
-2.1356 1.2330 9.7600
0.0000 -2.4659 9.7600
Ba Ga Ir Rh
1 4 1 2
Direct
0.0000 0.0000 0.0000
0.1342 0.1342 0.1342
0.4113 0.4113 0.4113
0.5887 0.5887 0.5887
0.8658 0.8658 0.8658
0.5000 0.5000 0.5000
0.2261 0.2261 0.2261
0.7739 0.7739 0.7739
```


# 4
Structure and simulated powder diffractogram of CaNdHo (a cell relaxed with PBE; Cu Kα (λ = 1.5418 Å)).
Neutral-atom scattering factors, no anomalous dispersion.

Peak list (12 most intense, 2θ = 10–80°, sorted by position)
3.171 Å, intensity 11.1
3.049 Å, intensity 31.1
2.996 Å, intensity 100.0
2.606 Å, intensity 75.8
2.198 Å, intensity 10.8
1.855 Å, intensity 21.1
1.831 Å, intensity 22.6
1.795 Å, intensity 6.6
1.585 Å, intensity 18.7
1.570 Å, intensity 25.6
1.562 Å, intensity 14.2
1.498 Å, intensity 13.8

Structural model:
```
CaNdHo
1.0
3.6616 0.0000 0.0000
-1.8308 3.1711 0.0000
0.0000 0.0000 9.1473
Ca Nd Ho
1 1 1
Direct
0.0000 0.0000 0.0000
0.3333 0.6667 0.6456
0.6667 0.3333 0.3402
```


What did the fourth record say?
Structure and simulated powder diffractogram of CaNdHo (a cell relaxed with PBE; Cu Kα (λ = 1.5418 Å)).
Neutral-atom scattering factors, no anomalous dispersion.

Peak list (12 most intense, 2θ = 10–80°, sorted by position)
3.171 Å, intensity 11.1
3.049 Å, intensity 31.1
2.996 Å, intensity 100.0
2.606 Å, intensity 75.8
2.198 Å, intensity 10.8
1.855 Å, intensity 21.1
1.831 Å, intensity 22.6
1.795 Å, intensity 6.6
1.585 Å, intensity 18.7
1.570 Å, intensity 25.6
1.562 Å, intensity 14.2
1.498 Å, intensity 13.8

Structural model:
```
CaNdHo
1.0
3.6616 0.0000 0.0000
-1.8308 3.1711 0.0000
0.0000 0.0000 9.1473
Ca Nd Ho
1 1 1
Direct
0.0000 0.0000 0.0000
0.3333 0.6667 0.6456
0.6667 0.3333 0.3402
```